For Tb7Sm2, a DFT-relaxed cell (PBE, Alexandria) gives the computed X-ray diffraction stick pattern in this record (a wavelength of 1.5418 Å).
Neutral-atom scattering factors, no anomalous dispersion.

Principal peaks in the range 10 to 90 degrees two-theta, most intense first:
2θ (°), I/Imax, h k l
31.82, 100, 3 0 0
31.18, 78, 1 1 1
61.83, 30, 3 0 2
45.15, 24, 2 2 1
32.99, 23, 2 0 1
56.29, 22, 4 1 1
37.93, 18, 2 1 1
53.96, 18, 3 2 1

Cell and atoms:
```
data_Tb7Sm2
_chemical_formula_sum 'Tb7 Sm2'
_space_group_name_H-M_alt 'P -6 2 m'
_space_group_IT_number 189
_space_group_name_Hall 'P -6 -2'
_cell_length_a 9.7421
_cell_length_b 9.7421
_cell_length_c 3.5485
_cell_angle_alpha 90.00
_cell_angle_beta 90.00
_cell_angle_gamma 120.00
loop_
_atom_site_label
_atom_site_fract_x
_atom_site_fract_y
_atom_site_fract_z
_atom_site_occupancy
Tb1 0.0000 0.0000 0.0000 1
Tb2 0.0000 0.3050 0.5000 1
Tb3 0.0000 0.6443 0.0000 1
Sm1 0.3333 0.6667 0.5000 1
```



For TbSm4, a DFT-relaxed cell (PBE, Alexandria) gives the computed X-ray diffraction stick pattern in this record (a wavelength of 1.5418 Å).
Neutral-atom scattering factors, no anomalous dispersion.

Principal peaks in the range 10 to 90 degrees two-theta, most intense first:
2θ (°), I/Imax, h k l
30.31, 100, 2 0 1
35.14, 51, 1 1 3
60.07, 39, 3 1 4
50.52, 24, 0 2 0
50.60, 12, 1 1 -7
84.87, 11, 4 2 2
82.22, 10, 5 1 0
63.01, 9, 4 0 2

Cell and atoms:
```
data_TbSm4
_chemical_formula_sum 'Tb2 Sm8'
_space_group_name_H-M_alt 'C 1 2/m 1'
_space_group_IT_number 12
_space_group_name_Hall '-C 2y'
_cell_length_a 6.261
_cell_length_b 3.614
_cell_length_c 14.867
_cell_angle_alpha 90.00
_cell_angle_beta 98.00
_cell_angle_gamma 90.00
loop_
_atom_site_label
_atom_site_fract_x
_atom_site_fract_y
_atom_site_fract_z
_atom_site_occupancy
Tb1 0.000 0.000 0.000 1
Sm1 0.100 0.500 0.802 1
Sm2 0.201 0.000 0.600 1
```



For Tb2Sm5, a DFT-relaxed cell (PBE, Alexandria) gives the computed X-ray diffraction stick pattern in this record (a wavelength of 1.5418 Å).
Neutral-atom scattering factors, no anomalous dispersion.

Principal peaks in the range 10 to 90 degrees two-theta, most intense first:
2θ (°), I/Imax, h k l
31.11, 100, 1 1 0
31.22, 92, 1 0 7
55.40, 56, 3 0 0
44.66, 34, 0 2 7
73.74, 16, 1 3 7
55.64, 14, 0 1 14
73.93, 12, 1 2 14
64.86, 12, 2 2 0

Cell and atoms:
```
data_Tb2Sm5
_chemical_formula_sum 'Tb6 Sm15'
_space_group_name_H-M_alt 'R -3 m'
_space_group_IT_number 166
_space_group_name_Hall '-R 3 2"'
_cell_length_a 5.7500
_cell_length_b 5.7500
_cell_length_c 24.5149
_cell_angle_alpha 90.00
_cell_angle_beta 90.00
_cell_angle_gamma 120.00
loop_
_atom_site_label
_atom_site_fract_x
_atom_site_fract_y
_atom_site_fract_z
_atom_site_occupancy
Tb1 0.0000 0.0000 0.1517 1
Sm1 0.0000 0.0000 0.0000 1
Sm2 0.0000 0.0000 0.2924 1
Sm3 0.0000 0.0000 0.4311 1
```



For Tb2Sm3, a DFT-relaxed cell (PBE, Alexandria) gives the computed X-ray diffraction stick pattern in this record (a wavelength of 1.5418 Å).
Neutral-atom scattering factors, no anomalous dispersion.

Principal peaks in the range 10 to 90 degrees two-theta, most intense first:
2θ (°), I/Imax, h k l
30.61, 100, 1 5 0
31.44, 94, 2 1 1
29.50, 80, 1 4 1
58.95, 33, 0 0 4
28.46, 31, 0 0 2
32.15, 31, 1 1 2
35.81, 24, 1 3 2
52.30, 23, 2 1 3

Cell and atoms:
```
data_Tb2Sm3
_chemical_formula_sum 'Tb8 Sm12'
_space_group_name_H-M_alt 'I b a m'
_space_group_IT_number 72
_space_group_name_Hall '-I 2 2c'
_cell_length_a 6.511
_cell_length_b 16.327
_cell_length_c 6.273
_cell_angle_alpha 90.00
_cell_angle_beta 90.00
_cell_angle_gamma 90.00
loop_
_atom_site_label
_atom_site_fract_x
_atom_site_fract_y
_atom_site_fract_z
_atom_site_occupancy
Tb1 0.137 0.192 0.000 1
Sm1 0.000 0.000 0.250 1
Sm2 0.107 0.404 0.000 1
```